[1]
CePa2Mn9: calculated X-ray powder pattern (Cu Kα (weighted mean of Kα1 and Kα2)), based on a DFT-relaxed cell (PBE, Alexandria).
Intensities are scaled so that the largest is 100.

Cell and atoms:
Unit cell a=8.275 b=8.275 c=5.179 alpha=90.00 beta=90.00 gamma=90.00
Fractional coordinates of all 24 atoms:
Ce 0.000 0.000 0.000
Ce 0.500 0.500 0.000
Pa 0.137 0.363 0.000
Pa 0.363 0.863 0.000
Pa 0.637 0.137 0.000
Pa 0.863 0.637 0.000
Mn 0.000 0.500 0.500
Mn 0.074 0.203 0.500
Mn 0.173 0.673 0.254
Mn 0.173 0.673 0.746
Mn 0.203 0.926 0.500
Mn 0.297 0.426 0.500
Mn 0.327 0.173 0.254
Mn 0.327 0.173 0.746
Mn 0.426 0.703 0.500
Mn 0.500 0.000 0.500
Mn 0.574 0.297 0.500
Mn 0.673 0.827 0.254
Mn 0.673 0.827 0.746
Mn 0.703 0.574 0.500
Mn 0.797 0.074 0.500
Mn 0.827 0.327 0.254
Mn 0.827 0.327 0.746
Mn 0.926 0.797 0.500

Top 12 peaks for 2θ = 10–90°, low angle first:
two_theta	I_rel
17.12	29.4
24.05	32.9
29.67	60.5
34.27	34.4
34.64	26.5
38.55	100.0
42.61	88.8
43.11	35.0
47.32	13.7
64.68	22.3
67.95	13.7
71.38	21.0


[2]
Sm5TlGe2: calculated X-ray powder pattern (Cu Kα (weighted mean of Kα1 and Kα2)), based on a DFT-relaxed cell (PBE, Alexandria).
Intensities are scaled so that the largest is 100.

Cell and atoms:
Unit cell a=9.108 b=9.108 c=9.108 alpha=128.20 beta=128.20 gamma=76.29
Fractional coordinates of all 16 atoms:
Sm 0.000 0.000 0.000
Sm 0.024 0.524 0.829
Sm 0.195 0.024 0.500
Sm 0.305 0.805 0.829
Sm 0.476 0.305 0.500
Sm 0.500 0.500 0.000
Sm 0.524 0.695 0.500
Sm 0.695 0.195 0.171
Sm 0.805 0.976 0.500
Sm 0.976 0.476 0.171
Tl 0.250 0.250 0.000
Tl 0.750 0.750 0.000
Ge 0.137 0.363 0.500
Ge 0.363 0.863 0.225
Ge 0.637 0.137 0.775
Ge 0.863 0.637 0.500

Top 12 peaks for 2θ = 10–90°, low angle first:
two_theta	I_rel
25.80	19.0
29.57	41.1
31.35	100.0
31.81	22.0
33.67	55.1
35.69	73.8
51.03	27.4
51.36	13.4
55.30	24.5
63.80	21.4
65.22	12.4
66.21	13.5


[3]
AcTeS: calculated X-ray powder pattern (Cu Kα (weighted mean of Kα1 and Kα2)), based on a DFT-relaxed cell (PBE, Alexandria).
Intensities are scaled so that the largest is 100.

Cell and atoms:
Unit cell a=4.427 b=4.427 c=9.015 alpha=90.00 beta=90.00 gamma=90.00
Fractional coordinates of all 6 atoms:
Ac 0.250 0.250 0.197
Ac 0.750 0.750 0.803
Te 0.250 0.750 0.500
Te 0.750 0.250 0.500
S 0.250 0.250 0.866
S 0.750 0.750 0.134

Top 12 peaks for 2θ = 10–90°, low angle first:
two_theta	I_rel
22.37	100.0
28.26	17.7
29.73	43.1
30.23	69.7
34.90	90.5
40.77	46.3
45.14	21.3
46.99	30.4
51.26	37.8
59.13	24.0
70.43	23.8
88.39	21.7


[4]
Be17MoAu: calculated X-ray powder pattern (Cu Kα (weighted mean of Kα1 and Kα2)), based on a DFT-relaxed cell (PBE, Alexandria).
Intensities are scaled so that the largest is 100.

Cell and atoms:
Unit cell a=5.559 b=5.559 c=5.559 alpha=82.53 beta=82.53 gamma=82.53
Fractional coordinates of all 19 atoms:
Be 0.000 0.500 0.500
Be 0.060 0.060 0.060
Be 0.158 0.461 0.858
Be 0.158 0.858 0.461
Be 0.172 0.172 0.652
Be 0.172 0.652 0.172
Be 0.261 0.261 0.261
Be 0.317 0.810 0.810
Be 0.461 0.158 0.858
Be 0.461 0.858 0.158
Be 0.500 0.000 0.500
Be 0.500 0.500 0.000
Be 0.652 0.172 0.172
Be 0.810 0.317 0.810
Be 0.810 0.810 0.317
Be 0.858 0.158 0.461
Be 0.858 0.461 0.158
Mo 0.492 0.492 0.492
Au 0.789 0.789 0.789

Top 12 peaks for 2θ = 10–90°, low angle first:
two_theta	I_rel
16.19	100.0
21.59	25.5
24.28	92.9
24.71	27.6
29.32	28.7
34.91	78.5
36.12	30.0
38.42	28.1
42.71	30.0
49.74	22.0
49.97	37.7
50.88	24.2


[5]
K2URhS6: calculated X-ray powder pattern (Cu Kα (weighted mean of Kα1 and Kα2)), based on a DFT-relaxed cell (PBE, Alexandria).
Intensities are scaled so that the largest is 100.

Cell and atoms:
Unit cell a=6.917 b=6.917 c=6.917 alpha=120.13 beta=119.88 gamma=90.00
Fractional coordinates of all 10 atoms:
K 0.250 0.250 0.000
K 0.750 0.750 0.000
U 0.500 0.000 0.500
Rh 0.000 0.500 0.500
S 0.243 0.257 0.500
S 0.243 0.743 0.500
S 0.243 0.743 0.985
S 0.757 0.257 0.015
S 0.757 0.257 0.500
S 0.757 0.743 0.500

Top 12 peaks for 2θ = 10–90°, low angle first:
two_theta	I_rel
15.69	19.2
18.14	96.9
25.76	100.0
30.30	16.6
36.75	60.9
41.26	40.2
45.39	29.3
45.48	14.6
52.95	26.9
56.47	11.5
59.78	16.5
89.64	12.7


[6]
Cs2Ti4O9: calculated X-ray powder pattern (Cu Kα (weighted mean of Kα1 and Kα2)), based on a DFT-relaxed cell (PBE, Alexandria).
Intensities are scaled so that the largest is 100.

Cell and atoms:
Unit cell a=10.627 b=10.627 c=12.193 alpha=108.14 beta=108.14 gamma=20.91
Fractional coordinates of all 30 atoms:
Cs 0.014 0.014 0.340
Cs 0.089 0.089 0.077
Cs 0.911 0.911 0.923
Cs 0.986 0.986 0.660
Ti 0.253 0.253 0.834
Ti 0.292 0.292 0.604
Ti 0.329 0.329 0.380
Ti 0.364 0.364 0.147
Ti 0.636 0.636 0.853
Ti 0.671 0.671 0.620
Ti 0.708 0.708 0.396
Ti 0.747 0.747 0.166
O 0.161 0.161 0.852
O 0.197 0.197 0.638
O 0.232 0.232 0.421
O 0.266 0.266 0.200
O 0.310 0.310 0.976
O 0.327 0.327 0.760
O 0.364 0.364 0.544
O 0.399 0.399 0.326
O 0.444 0.444 0.133
O 0.556 0.556 0.867
O 0.601 0.601 0.674
O 0.636 0.636 0.456
O 0.673 0.673 0.240
O 0.690 0.690 0.024
O 0.734 0.734 0.800
O 0.768 0.768 0.579
O 0.803 0.803 0.362
O 0.839 0.839 0.148

Top 12 peaks for 2θ = 10–90°, low angle first:
two_theta	I_rel
21.63	56.5
21.93	63.9
24.34	42.5
26.77	86.0
29.06	96.7
30.40	46.9
30.92	42.5
32.12	41.1
32.62	100.0
42.86	33.2
44.67	35.0
47.13	49.0


[7]
CsSe2: calculated X-ray powder pattern (Cu Kα (weighted mean of Kα1 and Kα2)), based on a DFT-relaxed cell (PBE, Alexandria).
Intensities are scaled so that the largest is 100.

Cell and atoms:
Unit cell a=5.172 b=5.185 c=8.928 alpha=76.98 beta=76.96 gamma=89.97
Fractional coordinates of all 6 atoms:
Cs 0.087 0.413 0.250
Cs 0.913 0.587 0.750
Se 0.360 0.008 0.904
Se 0.490 0.138 0.597
Se 0.510 0.862 0.403
Se 0.640 0.992 0.096

Top 12 peaks for 2θ = 10–90°, low angle first:
two_theta	I_rel
24.14	38.7
24.31	42.6
25.66	88.3
26.53	100.0
27.56	51.2
30.57	85.9
32.60	25.3
34.73	80.6
42.34	48.2
48.31	34.5
49.83	30.7
52.25	27.1


[8]
Nd3CoI: calculated X-ray powder pattern (Cu Kα (weighted mean of Kα1 and Kα2)), based on a DFT-relaxed cell (PBE, Alexandria).
Intensities are scaled so that the largest is 100.

Cell and atoms:
Unit cell a=7.750 b=7.750 c=10.818 alpha=107.07 beta=107.07 gamma=29.21
Fractional coordinates of all 10 atoms:
Nd 0.029 0.029 0.359
Nd 0.225 0.225 0.645
Nd 0.350 0.350 0.112
Nd 0.650 0.650 0.888
Nd 0.775 0.775 0.355
Nd 0.971 0.971 0.641
Co 0.415 0.415 0.410
Co 0.585 0.585 0.590
I 0.128 0.128 0.123
I 0.872 0.872 0.877

Top 12 peaks for 2θ = 10–90°, low angle first:
two_theta	I_rel
28.19	47.3
28.82	92.4
29.15	68.0
30.12	77.0
30.48	100.0
32.44	53.4
33.86	45.2
34.81	87.2
35.59	44.1
37.81	58.1
46.47	46.9
59.35	36.9


[9]
DyTm3Mg4: calculated X-ray powder pattern (Cu Kα (weighted mean of Kα1 and Kα2)), based on a DFT-relaxed cell (PBE, Alexandria).
Intensities are scaled so that the largest is 100.

Cell and atoms:
Unit cell a=3.758 b=3.758 c=15.078 alpha=90.00 beta=90.00 gamma=90.00
Fractional coordinates of all 8 atoms:
Dy 0.000 0.000 0.000
Tm 0.000 0.000 0.251
Tm 0.000 0.000 0.500
Tm 0.000 0.000 0.749
Mg 0.500 0.500 0.127
Mg 0.500 0.500 0.375
Mg 0.500 0.500 0.625
Mg 0.500 0.500 0.873

Top 12 peaks for 2θ = 10–90°, low angle first:
two_theta	I_rel
23.65	65.0
33.69	100.0
41.58	20.1
48.29	6.1
48.45	12.0
54.46	9.3
54.59	18.4
60.20	12.5
60.30	25.0
70.81	7.7
75.88	10.6
80.88	10.7


[10]
Zr2UFe9: calculated X-ray powder pattern (Cu Kα (weighted mean of Kα1 and Kα2)), based on a DFT-relaxed cell (PBE, Alexandria).
Intensities are scaled so that the largest is 100.

Cell and atoms:
Unit cell a=4.912 b=4.912 c=16.241 alpha=90.00 beta=90.00 gamma=120.00
Fractional coordinates of all 24 atoms:
Zr 0.333 0.667 0.037
Zr 0.333 0.667 0.463
Zr 0.667 0.333 0.537
Zr 0.667 0.333 0.963
U 0.333 0.667 0.250
U 0.667 0.333 0.750
Fe 0.000 0.000 0.000
Fe 0.000 0.000 0.250
Fe 0.000 0.000 0.500
Fe 0.000 0.000 0.750
Fe 0.168 0.335 0.623
Fe 0.168 0.335 0.877
Fe 0.168 0.832 0.623
Fe 0.168 0.832 0.877
Fe 0.333 0.667 0.750
Fe 0.335 0.168 0.123
Fe 0.335 0.168 0.377
Fe 0.665 0.832 0.623
Fe 0.665 0.832 0.877
Fe 0.667 0.333 0.250
Fe 0.832 0.168 0.123
Fe 0.832 0.168 0.377
Fe 0.832 0.665 0.123
Fe 0.832 0.665 0.377

Top 12 peaks for 2θ = 10–90°, low angle first:
two_theta	I_rel
10.90	12.2
21.59	16.6
26.65	12.2
34.75	59.9
36.58	44.3
42.88	39.9
43.04	100.0
44.64	18.3
64.68	19.5
68.14	14.0
70.32	22.2
77.76	18.0


[11]
Hf2Te: calculated X-ray powder pattern (Cu Kα (weighted mean of Kα1 and Kα2)), based on a DFT-relaxed cell (PBE, Alexandria).
Intensities are scaled so that the largest is 100.

Cell and atoms:
Unit cell a=7.002 b=7.002 c=7.002 alpha=28.93 beta=28.93 gamma=28.93
Fractional coordinates of all 3 atoms:
Hf 0.224 0.224 0.224
Hf 0.776 0.776 0.776
Te 0.000 0.000 0.000

Top 12 peaks for 2θ = 10–90°, low angle first:
two_theta	I_rel
29.82	29.4
30.82	36.1
34.56	100.0
37.15	71.6
40.36	29.8
46.96	12.6
52.30	42.8
64.21	16.7
65.88	13.5
68.06	54.1
87.32	18.1
88.83	15.4